# InFeCu2Se4
Computed powder XRD pattern, a wavelength of 1.5418 Å. Input: a GGA-PBE-relaxed structure.
Kinematic intensities with the Lorentz-polarization factor, no thermal factor.

Largest 8 diffraction maxima, in order of falling intensity, 2θ = 10–90°:
| d/Å | 2θ/deg | Rel. int. |
| --- | --- | --- |
| 3.298 | 27.04 | 100 |
| 2.018 | 44.92 | 48 |
| 1.725 | 53.10 | 28 |
| 2.023 | 44.79 | 24 |
| 1.718 | 53.33 | 14 |
| 1.167 | 82.68 | 14 |
| 1.309 | 72.13 | 10 |
| 1.431 | 65.21 | 7 |

Cell and atoms:
Cell lengths 5.723, 5.723, 11.383 Å; angles 90.00, 90.00, 90.00 degrees
Sites, in units of the cell vectors:
In 0.000 0.000 0.000
In 0.500 0.500 0.500
Fe 0.000 0.000 0.500
Fe 0.500 0.500 0.000
Cu 0.000 0.500 0.250
Cu 0.000 0.500 0.750
Cu 0.500 0.000 0.250
Cu 0.500 0.000 0.750
Se 0.232 0.232 0.367
Se 0.232 0.768 0.633
Se 0.268 0.268 0.867
Se 0.268 0.732 0.133
Se 0.732 0.268 0.133
Se 0.732 0.732 0.867
Se 0.768 0.232 0.633
Se 0.768 0.768 0.367



# InFeCu2Te4
Computed powder XRD pattern, a wavelength of 1.5418 Å. Input: a GGA-PBE-relaxed structure.
Kinematic intensities with the Lorentz-polarization factor, no thermal factor.

Largest 8 diffraction maxima, in order of falling intensity, 2θ = 10–90°:
| d/Å | 2θ/deg | Rel. int. |
| --- | --- | --- |
| 3.537 | 25.18 | 100 |
| 2.166 | 41.70 | 71 |
| 1.847 | 49.34 | 44 |
| 1.250 | 76.12 | 20 |
| 1.405 | 66.53 | 16 |
| 1.179 | 81.67 | 11 |
| 1.532 | 60.45 | 11 |
| 2.673 | 33.53 | 4 |

Cell and atoms:
Cell lengths 6.124, 6.124, 12.259 Å; angles 90.00, 90.00, 90.00 degrees
Sites, in units of the cell vectors:
In 0.000 0.000 0.000
In 0.500 0.500 0.500
Fe 0.000 0.500 0.750
Fe 0.500 0.000 0.250
Cu 0.000 0.000 0.500
Cu 0.000 0.500 0.250
Cu 0.500 0.000 0.750
Cu 0.500 0.500 0.000
Te 0.231 0.231 0.366
Te 0.231 0.769 0.634
Te 0.269 0.269 0.866
Te 0.269 0.731 0.134
Te 0.731 0.269 0.134
Te 0.731 0.731 0.866
Te 0.769 0.231 0.634
Te 0.769 0.769 0.366



# KFeCuS2
Computed powder XRD pattern, a wavelength of 1.5418 Å. Input: a GGA-PBE-relaxed structure.
Kinematic intensities with the Lorentz-polarization factor, no thermal factor.

Largest 8 diffraction maxima, in order of falling intensity, 2θ = 10–90°:
| d/Å | 2θ/deg | Rel. int. |
| --- | --- | --- |
| 6.317 | 14.02 | 100 |
| 2.490 | 36.07 | 68 |
| 2.834 | 31.57 | 51 |
| 1.663 | 55.25 | 42 |
| 1.916 | 47.46 | 37 |
| 2.056 | 44.04 | 34 |
| 3.159 | 28.25 | 21 |
| 1.833 | 49.74 | 15 |

Cell and atoms:
Cell lengths 3.831, 3.831, 12.634 Å; angles 90.00, 90.00, 90.00 degrees
Sites, in units of the cell vectors:
K 0.000 0.000 0.000
K 0.500 0.500 0.500
Fe 0.000 0.500 0.250
Fe 0.500 0.000 0.750
Cu 0.000 0.500 0.750
Cu 0.500 0.000 0.250
S 0.000 0.000 0.348
S 0.000 0.000 0.652
S 0.500 0.500 0.152
S 0.500 0.500 0.848



# KFeCuSe2
Computed powder XRD pattern, a wavelength of 1.5418 Å. Input: a GGA-PBE-relaxed structure.
Kinematic intensities with the Lorentz-polarization factor, no thermal factor.

Largest 8 diffraction maxima, in order of falling intensity, 2θ = 10–90°:
| d/Å | 2θ/deg | Rel. int. |
| --- | --- | --- |
| 2.966 | 30.13 | 100 |
| 6.683 | 13.25 | 84 |
| 2.151 | 42.01 | 55 |
| 1.987 | 45.65 | 46 |
| 1.746 | 52.41 | 45 |
| 1.651 | 55.68 | 33 |
| 2.591 | 34.63 | 30 |
| 1.095 | 89.54 | 19 |

Cell and atoms:
Cell lengths 3.974, 3.974, 13.366 Å; angles 90.00, 90.00, 90.00 degrees
Sites, in units of the cell vectors:
K 0.000 0.000 0.000
K 0.500 0.500 0.500
Fe 0.000 0.500 0.250
Fe 0.500 0.000 0.750
Cu 0.000 0.500 0.750
Cu 0.500 0.000 0.250
Se 0.000 0.000 0.353
Se 0.000 0.000 0.647
Se 0.500 0.500 0.147
Se 0.500 0.500 0.853



# LuFeCu
Computed powder XRD pattern, a wavelength of 1.5418 Å. Input: a GGA-PBE-relaxed structure.
Kinematic intensities with the Lorentz-polarization factor, no thermal factor.

Largest 8 diffraction maxima, in order of falling intensity, 2θ = 10–90°:
| d/Å | 2θ/deg | Rel. int. |
| --- | --- | --- |
| 2.571 | 34.89 | 100 |
| 2.226 | 40.53 | 77 |
| 2.158 | 41.86 | 76 |
| 2.148 | 42.07 | 64 |
| 1.286 | 73.68 | 33 |
| 2.504 | 35.86 | 26 |
| 2.525 | 35.55 | 21 |
| 4.180 | 21.26 | 20 |

Cell and atoms:
Cell lengths 5.008, 5.050, 7.446 Å; angles 90.00, 90.00, 90.00 degrees
Sites, in units of the cell vectors:
Lu 0.000 0.250 0.122
Lu 0.000 0.750 0.878
Lu 0.500 0.250 0.378
Lu 0.500 0.750 0.622
Fe 0.250 0.250 0.750
Fe 0.250 0.750 0.250
Fe 0.750 0.250 0.750
Fe 0.750 0.750 0.250
Cu 0.000 0.000 0.500
Cu 0.000 0.500 0.500
Cu 0.500 0.000 0.000
Cu 0.500 0.500 0.000



# Mg6FeCu
Computed powder XRD pattern, a wavelength of 1.5418 Å. Input: a GGA-PBE-relaxed structure.
Kinematic intensities with the Lorentz-polarization factor, no thermal factor.

Largest 8 diffraction maxima, in order of falling intensity, 2θ = 10–90°:
| d/Å | 2θ/deg | Rel. int. |
| --- | --- | --- |
| 2.299 | 39.18 | 100 |
| 2.276 | 39.60 | 49 |
| 2.382 | 37.77 | 36 |
| 2.625 | 34.16 | 30 |
| 5.181 | 17.11 | 24 |
| 1.764 | 51.83 | 17 |
| 1.271 | 74.71 | 17 |
| 1.359 | 69.14 | 17 |

Cell and atoms:
Cell lengths 4.763, 6.090, 10.363 Å; angles 90.00, 90.00, 90.00 degrees
Sites, in units of the cell vectors:
Mg 0.000 0.000 0.000
Mg 0.000 0.000 0.499
Mg 0.000 0.247 0.236
Mg 0.000 0.253 0.736
Mg 0.000 0.500 0.500
Mg 0.000 0.500 0.999
Mg 0.000 0.747 0.736
Mg 0.000 0.753 0.236
Mg 0.500 0.249 0.910
Mg 0.500 0.251 0.410
Mg 0.500 0.749 0.410
Mg 0.500 0.751 0.910
Fe 0.500 0.000 0.158
Fe 0.500 0.500 0.658
Cu 0.500 0.000 0.659
Cu 0.500 0.500 0.159



# Mg14FeCu
Computed powder XRD pattern, a wavelength of 1.5418 Å. Input: a GGA-PBE-relaxed structure.
Kinematic intensities with the Lorentz-polarization factor, no thermal factor.

Largest 8 diffraction maxima, in order of falling intensity, 2θ = 10–90°:
| d/Å | 2θ/deg | Rel. int. |
| --- | --- | --- |
| 2.371 | 37.95 | 100 |
| 2.708 | 33.08 | 26 |
| 2.453 | 36.64 | 25 |
| 1.318 | 71.56 | 18 |
| 1.564 | 59.08 | 17 |
| 1.400 | 66.84 | 17 |
| 5.417 | 16.36 | 17 |
| 1.818 | 50.18 | 15 |

Cell and atoms:
Cell lengths 6.255, 6.255, 9.810 Å; angles 90.00, 90.00, 120.00 degrees
Sites, in units of the cell vectors:
Mg 0.000 0.000 0.250
Mg 0.000 0.000 0.750
Mg 0.016 0.508 0.249
Mg 0.016 0.508 0.751
Mg 0.331 0.166 0.500
Mg 0.334 0.167 0.000
Mg 0.492 0.508 0.249
Mg 0.492 0.508 0.751
Mg 0.492 0.984 0.249
Mg 0.492 0.984 0.751
Mg 0.833 0.167 0.000
Mg 0.833 0.666 0.000
Mg 0.834 0.166 0.500
Mg 0.834 0.669 0.500
Fe 0.333 0.667 0.000
Cu 0.333 0.667 0.500



# Mg14FeCu
Computed powder XRD pattern, a wavelength of 1.5418 Å. Input: a GGA-PBE-relaxed structure.
Kinematic intensities with the Lorentz-polarization factor, no thermal factor.

Largest 8 diffraction maxima, in order of falling intensity, 2θ = 10–90°:
| d/Å | 2θ/deg | Rel. int. |
| --- | --- | --- |
| 2.381 | 37.78 | 100 |
| 2.371 | 37.96 | 47 |
| 2.448 | 36.72 | 34 |
| 2.726 | 32.86 | 26 |
| 1.567 | 58.92 | 16 |
| 1.320 | 71.47 | 16 |
| 1.400 | 66.83 | 15 |
| 1.821 | 50.09 | 15 |

Cell and atoms:
Cell lengths 9.790, 6.270, 6.270 Å; angles 60.40, 90.00, 90.00 degrees
Sites, in units of the cell vectors:
Mg 0.000 0.000 0.000
Mg 0.000 0.004 0.504
Mg 0.000 0.500 0.500
Mg 0.000 0.504 0.004
Mg 0.255 0.165 0.165
Mg 0.255 0.667 0.667
Mg 0.273 0.174 0.678
Mg 0.273 0.678 0.174
Mg 0.500 0.489 0.994
Mg 0.500 0.994 0.489
Mg 0.727 0.174 0.678
Mg 0.727 0.678 0.174
Mg 0.745 0.165 0.165
Mg 0.745 0.667 0.667
Fe 0.500 0.009 0.009
Cu 0.500 0.507 0.507



# Mg6FeCu
Computed powder XRD pattern, a wavelength of 1.5418 Å. Input: a GGA-PBE-relaxed structure.
Kinematic intensities with the Lorentz-polarization factor, no thermal factor.

Largest 8 diffraction maxima, in order of falling intensity, 2θ = 10–90°:
| d/Å | 2θ/deg | Rel. int. |
| --- | --- | --- |
| 2.290 | 39.34 | 100 |
| 2.284 | 39.46 | 49 |
| 5.208 | 17.03 | 48 |
| 2.400 | 37.48 | 39 |
| 1.363 | 68.89 | 26 |
| 2.606 | 34.41 | 24 |
| 1.764 | 51.82 | 22 |
| 1.272 | 74.58 | 17 |

Cell and atoms:
Cell lengths 4.799, 6.026, 10.386 Å; angles 90.00, 90.00, 90.00 degrees
Sites, in units of the cell vectors:
Mg 0.000 0.000 0.000
Mg 0.000 0.238 0.257
Mg 0.000 0.262 0.757
Mg 0.000 0.500 0.500
Mg 0.000 0.738 0.757
Mg 0.000 0.762 0.257
Mg 0.500 0.000 0.831
Mg 0.500 0.239 0.576
Mg 0.500 0.261 0.076
Mg 0.500 0.500 0.331
Mg 0.500 0.739 0.076
Mg 0.500 0.761 0.576
Fe 0.500 0.000 0.336
Fe 0.500 0.500 0.836
Cu 0.000 0.000 0.490
Cu 0.000 0.500 0.990



# MgFeCu5S4
Computed powder XRD pattern, a wavelength of 1.5418 Å. Input: a GGA-PBE-relaxed structure.
Kinematic intensities with the Lorentz-polarization factor, no thermal factor.

Largest 8 diffraction maxima, in order of falling intensity, 2θ = 10–90°:
| d/Å | 2θ/deg | Rel. int. |
| --- | --- | --- |
| 1.920 | 47.36 | 100 |
| 2.805 | 31.90 | 75 |
| 2.055 | 44.07 | 42 |
| 2.312 | 38.96 | 30 |
| 3.168 | 28.16 | 25 |
| 2.602 | 34.46 | 23 |
| 6.969 | 12.70 | 17 |
| 3.485 | 25.56 | 17 |

Cell and atoms:
Cell lengths 3.837, 3.837, 14.110 Å; angles 97.74, 97.74, 60.12 degrees
Sites, in units of the cell vectors:
Mg 0.000 0.000 0.000
Fe 0.390 0.390 0.170
Cu 0.134 0.134 0.398
Cu 0.507 0.507 0.515
Cu 0.616 0.616 0.841
Cu 0.761 0.761 0.280
Cu 0.896 0.896 0.691
S 0.060 0.060 0.179
S 0.306 0.306 0.916
S 0.558 0.558 0.678
S 0.814 0.814 0.442



# MgFe2Cu2S4
Computed powder XRD pattern, a wavelength of 1.5418 Å. Input: a GGA-PBE-relaxed structure.
Kinematic intensities with the Lorentz-polarization factor, no thermal factor.

Largest 8 diffraction maxima, in order of falling intensity, 2θ = 10–90°:
| d/Å | 2θ/deg | Rel. int. |
| --- | --- | --- |
| 3.068 | 29.11 | 100 |
| 1.877 | 48.50 | 53 |
| 1.882 | 48.37 | 27 |
| 1.604 | 57.45 | 25 |
| 1.598 | 57.68 | 12 |
| 2.661 | 33.68 | 11 |
| 1.218 | 78.52 | 9 |
| 1.331 | 70.81 | 8 |

Cell and atoms:
Cell lengths 5.323, 5.323, 5.296 Å; angles 90.00, 90.00, 90.00 degrees
Sites, in units of the cell vectors:
Mg 0.000 0.000 0.000
Fe 0.000 0.500 0.000
Fe 0.500 0.000 0.000
Cu 0.000 0.000 0.500
Cu 0.500 0.500 0.500
S 0.265 0.265 0.232
S 0.265 0.735 0.768
S 0.735 0.265 0.768
S 0.735 0.735 0.232



# MgFe2Cu2S4
Computed powder XRD pattern, a wavelength of 1.5418 Å. Input: a GGA-PBE-relaxed structure.
Kinematic intensities with the Lorentz-polarization factor, no thermal factor.

Largest 8 diffraction maxima, in order of falling intensity, 2θ = 10–90°:
| d/Å | 2θ/deg | Rel. int. |
| --- | --- | --- |
| 3.131 | 28.51 | 100 |
| 3.108 | 28.73 | 85 |
| 1.936 | 46.93 | 42 |
| 1.888 | 48.21 | 37 |
| 1.918 | 47.39 | 24 |
| 1.897 | 47.96 | 17 |
| 2.353 | 38.25 | 16 |
| 1.664 | 55.22 | 12 |

Cell and atoms:
Cell lengths 6.678, 6.678, 5.264 Å; angles 112.63, 112.63, 47.86 degrees
Sites, in units of the cell vectors:
Mg 0.000 0.000 0.000
Fe 0.563 0.189 0.579
Fe 0.811 0.437 0.421
Cu 0.127 0.594 0.141
Cu 0.406 0.873 0.859
S 0.200 0.253 0.239
S 0.483 0.517 0.000
S 0.747 0.800 0.761
S 0.986 0.014 0.500



# MgFe2Cu2S4
Computed powder XRD pattern, a wavelength of 1.5418 Å. Input: a GGA-PBE-relaxed structure.
Kinematic intensities with the Lorentz-polarization factor, no thermal factor.

Largest 8 diffraction maxima, in order of falling intensity, 2θ = 10–90°:
| d/Å | 2θ/deg | Rel. int. |
| --- | --- | --- |
| 3.054 | 29.24 | 100 |
| 1.863 | 48.89 | 50 |
| 1.886 | 48.25 | 28 |
| 1.605 | 57.42 | 26 |
| 1.576 | 58.56 | 11 |
| 2.667 | 33.60 | 11 |
| 1.210 | 79.19 | 9 |
| 1.334 | 70.63 | 8 |

Cell and atoms:
Cell lengths 5.335, 5.335, 5.205 Å; angles 90.00, 90.00, 90.00 degrees
Sites, in units of the cell vectors:
Mg 0.000 0.000 0.000
Fe 0.000 0.000 0.500
Fe 0.500 0.500 0.500
Cu 0.000 0.500 0.000
Cu 0.500 0.000 0.000
S 0.255 0.255 0.284
S 0.255 0.745 0.716
S 0.745 0.255 0.716
S 0.745 0.745 0.284



# MgFeCu5S4
Computed powder XRD pattern, a wavelength of 1.5418 Å. Input: a GGA-PBE-relaxed structure.
Kinematic intensities with the Lorentz-polarization factor, no thermal factor.

Largest 8 diffraction maxima, in order of falling intensity, 2θ = 10–90°:
| d/Å | 2θ/deg | Rel. int. |
| --- | --- | --- |
| 1.949 | 46.61 | 100 |
| 2.786 | 32.13 | 49 |
| 2.459 | 36.54 | 32 |
| 1.994 | 45.49 | 32 |
| 2.258 | 39.93 | 25 |
| 3.194 | 27.94 | 24 |
| 3.104 | 28.77 | 24 |
| 1.990 | 45.60 | 16 |

Cell and atoms:
Cell lengths 3.897, 3.897, 13.350 Å; angles 98.24, 98.24, 60.00 degrees
Sites, in units of the cell vectors:
Mg 0.000 0.000 0.000
Fe 0.122 0.122 0.357
Cu 0.238 0.238 0.708
Cu 0.398 0.398 0.184
Cu 0.490 0.490 0.466
Cu 0.612 0.612 0.832
Cu 0.862 0.862 0.576
S 0.064 0.064 0.180
S 0.303 0.303 0.909
S 0.554 0.554 0.657
S 0.803 0.803 0.403